# 1
This entry pairs a crystal structure of Rb with its computed powder diffractogram. Radiation: λ = 1.5418 Å (Cu Kα). Structure: a cell relaxed with PBE.
Neutral-atom scattering factors, no anomalous dispersion.

The 12 most intense peaks (2θ from 15° to 90°), sorted by position:
| 2θ (°) | intensity |
| --- | --- |
| 20.48 | 8 |
| 21.73 | 100 |
| 24.06 | 32 |
| 25.15 | 11 |
| 26.19 | 17 |
| 35.86 | 7 |
| 36.63 | 13 |
| 38.12 | 34 |
| 38.85 | 7 |
| 40.96 | 7 |
| 44.30 | 11 |
| 57.73 | 7 |

Cell and atoms:
```
29
Lattice="-8.674 8.674 8.674 8.674 -8.674 8.674 8.674 8.674 -8.674" Properties=species:S:1:pos:R:3 pbc="T T T"
Rb 0.000 0.000 0.000
Rb 5.538 5.538 -5.538
Rb 4.894 1.602 -1.602
Rb 4.894 -1.602 1.602
Rb 9.454 2.402 -2.402
Rb 5.538 -5.538 5.538
Rb 9.454 -2.402 2.402
Rb 12.454 1.602 1.602
Rb 1.602 4.894 -1.602
Rb 1.602 -1.602 4.894
Rb 7.894 2.402 2.402
Rb 6.272 6.272 -0.780
Rb 6.272 -0.780 6.272
Rb 3.136 3.136 3.136
Rb -1.602 4.894 1.602
Rb -1.602 1.602 4.894
Rb 2.402 9.454 -2.402
Rb 2.402 -2.402 9.454
Rb 2.402 7.894 2.402
Rb 2.402 2.402 7.894
Rb 7.072 7.072 3.780
Rb 7.072 3.780 7.072
Rb -5.538 5.538 5.538
Rb -2.402 9.454 2.402
Rb -2.402 2.402 9.454
Rb -0.780 6.272 6.272
Rb 1.602 12.454 1.602
Rb 1.602 1.602 12.454
Rb 3.780 7.072 7.072
```


# 2
This entry pairs a crystal structure of Rb with its computed powder diffractogram. Radiation: λ = 1.5418 Å (Cu Kα). Structure: a cell relaxed with PBE.
Neutral-atom scattering factors, no anomalous dispersion.

The 12 most intense peaks (2θ from 15° to 90°), sorted by position:
| 2θ (°) | intensity |
| --- | --- |
| 20.45 | 57 |
| 21.13 | 100 |
| 21.49 | 52 |
| 25.67 | 84 |
| 29.84 | 45 |
| 33.04 | 21 |
| 37.46 | 22 |
| 40.34 | 24 |
| 41.11 | 18 |
| 41.65 | 26 |
| 41.95 | 27 |
| 46.85 | 25 |

Cell and atoms:
```
8
Lattice="5.090 0.000 0.000 0.000 8.269 0.000 0.000 0.000 17.371" Properties=species:S:1:pos:R:3 pbc="T T T"
Rb 0.000 0.000 2.282
Rb 0.000 0.000 15.089
Rb 0.000 4.135 6.403
Rb 0.000 4.135 10.968
Rb 2.545 0.000 6.403
Rb 2.545 0.000 10.968
Rb 2.545 4.135 2.282
Rb 2.545 4.135 15.089
```


# 3
This entry pairs a crystal structure of Rb with its computed powder diffractogram. Radiation: λ = 1.5418 Å (Cu Kα). Structure: a cell relaxed with PBE.
Neutral-atom scattering factors, no anomalous dispersion.

The 12 most intense peaks (2θ from 15° to 90°), sorted by position:
| 2θ (°) | intensity |
| --- | --- |
| 19.28 | 13 |
| 21.67 | 42 |
| 22.39 | 46 |
| 22.96 | 71 |
| 23.20 | 100 |
| 31.36 | 23 |
| 34.35 | 16 |
| 37.23 | 14 |
| 38.63 | 26 |
| 39.80 | 16 |
| 43.89 | 16 |
| 44.19 | 21 |

Cell and atoms:
```
26
Lattice="4.831 -7.940 0.000 4.831 7.940 0.000 0.000 0.000 31.065" Properties=species:S:1:pos:R:3 pbc="T T T"
Rb 4.658 6.427 12.119
Rb 5.003 6.427 3.413
Rb 2.348 1.926 14.214
Rb 2.411 1.995 23.303
Rb 4.831 5.967 23.298
Rb 2.603 2.039 1.114
Rb 4.665 2.490 18.989
Rb 4.996 2.490 27.608
Rb 2.348 -1.926 16.851
Rb 4.743 1.976 5.438
Rb 2.411 -1.995 7.761
Rb 4.918 1.976 10.094
Rb 2.603 -2.039 29.950
Rb 7.058 2.039 14.418
Rb 4.743 -1.976 25.627
Rb 7.250 1.995 23.293
Rb 4.918 -1.976 20.970
Rb 7.313 1.926 1.318
Rb 4.665 -2.490 12.076
Rb 4.996 -2.490 3.456
Rb 7.058 -2.039 16.647
Rb 4.831 -5.967 7.766
Rb 7.250 -1.995 7.771
Rb 7.313 -1.926 29.746
Rb 4.658 -6.427 18.945
Rb 5.003 -6.427 27.652
```


# 4
This entry pairs a crystal structure of Rb with its computed powder diffractogram. Radiation: λ = 1.5418 Å (Cu Kα). Structure: a cell relaxed with PBE.
Neutral-atom scattering factors, no anomalous dispersion.

The 12 most intense peaks (2θ from 15° to 90°), sorted by position:
| 2θ (°) | intensity |
| --- | --- |
| 19.03 | 42 |
| 21.85 | 96 |
| 22.01 | 19 |
| 22.92 | 75 |
| 24.50 | 100 |
| 25.47 | 24 |
| 34.42 | 31 |
| 38.52 | 54 |
| 43.03 | 27 |
| 44.31 | 19 |
| 45.38 | 22 |
| 59.18 | 19 |

Cell and atoms:
```
12
Lattice="16.154 0.000 0.000 -8.077 13.990 0.000 0.000 0.000 5.001" Properties=species:S:1:pos:R:3 pbc="T T T"
Rb -2.349 7.988 1.250
Rb -0.033 4.251 3.751
Rb -4.379 11.893 3.751
Rb 3.665 2.155 1.250
Rb 2.334 7.961 1.250
Rb 0.015 12.030 1.250
Rb 8.062 1.960 3.751
Rb 5.743 6.028 3.751
Rb 4.412 11.835 3.751
Rb 12.455 2.097 1.250
Rb 8.110 9.738 1.250
Rb 10.426 6.002 3.751
```


# 5
This entry pairs a crystal structure of Rb with its computed powder diffractogram. Radiation: λ = 1.5418 Å (Cu Kα). Structure: a cell relaxed with PBE.
Neutral-atom scattering factors, no anomalous dispersion.

The 12 most intense peaks (2θ from 15° to 90°), sorted by position:
| 2θ (°) | intensity |
| --- | --- |
| 21.83 | 100 |
| 23.03 | 59 |
| 24.17 | 28 |
| 27.32 | 10 |
| 37.55 | 37 |
| 39.75 | 31 |
| 40.46 | 8 |
| 43.86 | 8 |
| 44.51 | 12 |
| 58.01 | 8 |
| 59.08 | 10 |
| 59.61 | 8 |

Cell and atoms:
```
20
Lattice="12.212 0.000 0.000 0.000 12.212 0.000 0.000 0.000 12.212" Properties=species:S:1:pos:R:3 pbc="T T T"
Rb 0.570 1.527 9.730
Rb 0.754 11.458 5.352
Rb 1.527 9.730 0.570
Rb 2.299 2.299 2.299
Rb 2.483 6.677 4.580
Rb 3.624 5.536 10.686
Rb 3.807 9.914 8.405
Rb 4.580 2.483 6.677
Rb 5.352 0.754 11.458
Rb 5.536 10.686 3.624
Rb 6.677 4.580 2.483
Rb 6.860 6.860 6.860
Rb 7.633 8.589 11.642
Rb 8.405 3.807 9.914
Rb 8.589 11.642 7.633
Rb 9.730 0.570 1.527
Rb 9.914 8.405 3.807
Rb 10.686 3.624 5.536
Rb 11.458 5.352 0.754
Rb 11.642 7.633 8.589
```


# 6
This entry pairs a crystal structure of Rb with its computed powder diffractogram. Radiation: λ = 1.5418 Å (Cu Kα). Structure: a cell relaxed with PBE.
Neutral-atom scattering factors, no anomalous dispersion.

The 12 most intense peaks (2θ from 15° to 90°), sorted by position:
| 2θ (°) | intensity |
| --- | --- |
| 19.81 | 33 |
| 22.18 | 100 |
| 24.33 | 80 |
| 36.14 | 28 |
| 37.55 | 50 |
| 40.26 | 21 |
| 45.25 | 15 |
| 46.44 | 27 |
| 55.20 | 24 |
| 56.22 | 15 |
| 58.24 | 14 |
| 64.05 | 15 |

Cell and atoms:
```
8
Lattice="8.961 0.000 0.000 0.000 8.961 0.000 0.000 0.000 8.961" Properties=species:S:1:pos:R:3 pbc="T T T"
Rb 0.000 0.000 0.000
Rb 0.000 2.240 4.481
Rb 0.000 6.721 4.481
Rb 2.240 4.481 0.000
Rb 4.481 0.000 2.240
Rb 4.481 0.000 6.721
Rb 4.481 4.481 4.481
Rb 6.721 4.481 0.000
```


# 7
This entry pairs a crystal structure of Rb with its computed powder diffractogram. Radiation: λ = 1.5418 Å (Cu Kα). Structure: a cell relaxed with PBE.
Neutral-atom scattering factors, no anomalous dispersion.

The 12 most intense peaks (2θ from 15° to 90°), sorted by position:
| 2θ (°) | intensity |
| --- | --- |
| 19.21 | 51 |
| 20.20 | 61 |
| 22.10 | 100 |
| 26.39 | 64 |
| 28.02 | 40 |
| 32.29 | 28 |
| 33.46 | 37 |
| 40.59 | 29 |
| 42.09 | 18 |
| 42.78 | 31 |
| 43.22 | 24 |
| 48.15 | 18 |

Cell and atoms:
```
16
Lattice="9.239 0.000 0.000 0.000 9.239 0.000 0.000 0.000 17.586" Properties=species:S:1:pos:R:3 pbc="T T T"
Rb 1.635 0.675 2.198
Rb 1.635 3.945 10.991
Rb 1.635 5.294 15.388
Rb 1.635 8.564 6.595
Rb 2.984 0.675 15.388
Rb 2.984 3.945 6.595
Rb 2.984 5.294 2.198
Rb 2.984 8.564 10.991
Rb 6.255 0.675 6.595
Rb 6.255 3.945 15.388
Rb 6.255 5.294 10.991
Rb 6.255 8.564 2.198
Rb 7.604 0.675 10.991
Rb 7.604 3.945 2.198
Rb 7.604 5.294 6.595
Rb 7.604 8.564 15.388
```


# 8
This entry pairs a crystal structure of Rb4Re6S13 with its computed powder diffractogram. Radiation: λ = 1.5418 Å (Cu Kα). Structure: a cell relaxed with PBE.
Neutral-atom scattering factors, no anomalous dispersion.

The 12 most intense peaks (2θ from 15° to 90°), sorted by position:
| 2θ (°) | intensity |
| --- | --- |
| 16.41 | 85 |
| 18.11 | 68 |
| 25.32 | 50 |
| 29.49 | 71 |
| 35.60 | 61 |
| 36.83 | 70 |
| 38.25 | 80 |
| 40.91 | 70 |
| 41.70 | 59 |
| 45.10 | 58 |
| 46.79 | 100 |
| 47.69 | 71 |

Cell and atoms:
```
46
Lattice="4.963 -8.459 0.000 4.963 8.459 0.000 -2.247 0.000 14.036" Properties=species:S:1:pos:R:3 pbc="T T T"
Rb 1.478 2.412 5.342
Rb 1.140 0.526 9.255
Rb 2.264 -0.526 2.237
Rb 0.355 -2.412 12.360
Rb 7.323 2.412 1.676
Rb 5.415 0.526 11.799
Rb 6.538 -0.526 4.781
Rb 6.200 -2.412 8.694
Re -0.543 2.548 13.773
Re 3.371 3.570 1.522
Re 1.669 3.731 12.964
Re 0.580 -2.548 6.755
Re 4.886 3.731 8.091
Re 5.430 3.570 5.496
Re 2.248 -3.570 8.540
Re 2.793 -3.731 5.946
Re 7.098 2.548 7.281
Re 6.009 -3.731 1.073
Re 4.307 -3.570 12.514
Re 8.221 -2.548 0.263
S 1.228 2.558 2.102
S 0.018 2.829 11.442
S -1.490 0.268 13.330
S -0.366 -0.268 6.312
S 3.465 4.730 6.372
S 2.971 3.192 9.517
S 5.337 4.730 0.646
S 3.930 1.637 0.150
S 0.105 -2.558 9.120
S 4.401 2.481 3.509
S 1.142 -2.829 4.424
S 3.584 3.192 11.538
S 2.806 -1.637 7.168
S 4.872 1.637 6.868
S 4.094 -3.192 2.499
S 6.537 2.829 9.613
S 3.277 -2.481 10.527
S 7.573 2.558 4.916
S 3.748 -1.637 13.886
S 2.342 -4.730 13.390
S 4.708 -3.192 4.519
S 4.213 -4.730 7.665
S 8.044 0.268 7.724
S 9.168 -0.268 0.706
S 7.660 -2.829 2.594
S 6.450 -2.558 11.934
```